Record 1
Calculated XRD peak list of Y2BiPtBr for CuKα, from a crystal structure in Alexandria, relaxed with PBE.
Neutral-atom scattering factors, no anomalous dispersion.

Principal peaks in the range 10 to 90 degrees two-theta, by angle:
23.94°, I = 29; 29.12°, I = 100; 32.99°, I = 32; 34.12°, I = 59; 41.18°, I = 15; 48.19°, I = 44; 49.02°, I = 21; 56.56°, I = 16; 58.04°, I = 29; 60.36°, I = 23; 78.06°, I = 12; 79.47°, I = 10

Atomic structure:
Cell: 5.256 5.256 5.430 Å, 90.00 90.00 90.00°
Space group P4/mmm (No. 123)
Inequivalent atoms, fractional coordinates:
Y1 0.000 0.500 0.000
Bi1 0.000 0.000 0.500
Pt1 0.500 0.500 0.500
Br1 0.000 0.000 0.000

=====

Record 2
Calculated XRD peak list of SbH3NF6 for CuKα, from a crystal structure in Alexandria, relaxed with PBE.
Neutral-atom scattering factors, no anomalous dispersion.

Principal peaks in the range 10 to 90 degrees two-theta, by angle:
14.43°, I = 22; 15.51°, I = 37; 16.32°, I = 30; 16.57°, I = 42; 20.67°, I = 100; 21.79°, I = 62; 21.90°, I = 83; 23.37°, I = 50; 24.70°, I = 87; 40.57°, I = 30; 40.84°, I = 28; 41.90°, I = 37

Atomic structure:
Cell: 7.632 12.273 10.945 Å, 90.00 93.91 90.00°
Space group C2/c (No. 15)
Inequivalent atoms, fractional coordinates:
Sb1 0.000 0.000 0.000
Sb2 0.000 0.351 0.250
H1 0.025 0.251 0.653
H2 0.108 0.381 0.662
H3 0.113 0.362 0.858
N1 0.005 0.331 0.684
F1 0.033 0.114 0.621
F2 0.070 0.348 0.422
F3 0.113 0.091 0.389
F4 0.162 0.467 0.221
F5 0.180 0.248 0.220
F6 0.223 0.065 0.051

=====

Record 3
Calculated XRD peak list of Tb7Sm3Ho for CuKα, from a crystal structure in Alexandria, relaxed with PBE.
Neutral-atom scattering factors, no anomalous dispersion.

Principal peaks in the range 10 to 90 degrees two-theta, by angle:
31.39°, I = 35; 31.58°, I = 40; 31.69°, I = 80; 31.84°, I = 100; 32.13°, I = 24; 32.24°, I = 79; 32.84°, I = 81; 46.15°, I = 18; 52.49°, I = 18; 57.12°, I = 23; 57.92°, I = 31; 62.99°, I = 32

Atomic structure:
Cell: 6.973 5.553 9.986 Å, 90.00 109.87 90.00°
Space group P2/m (No. 10)
Inequivalent atoms, fractional coordinates:
Tb1 0.000 0.000 0.000
Tb2 0.146 0.500 0.290
Tb3 0.322 0.500 0.638
Tb4 0.419 0.000 0.829
Sm1 0.000 0.000 0.500
Sm2 0.281 0.500 0.998
Ho1 0.500 0.000 0.500

=====

Please write out number 2 again, unchanged.
Calculated XRD peak list of SbH3NF6 for CuKα, from a crystal structure in Alexandria, relaxed with PBE.
Neutral-atom scattering factors, no anomalous dispersion.

Principal peaks in the range 10 to 90 degrees two-theta, by angle:
14.43°, I = 22; 15.51°, I = 37; 16.32°, I = 30; 16.57°, I = 42; 20.67°, I = 100; 21.79°, I = 62; 21.90°, I = 83; 23.37°, I = 50; 24.70°, I = 87; 40.57°, I = 30; 40.84°, I = 28; 41.90°, I = 37

Atomic structure:
Cell: 7.632 12.273 10.945 Å, 90.00 93.91 90.00°
Space group C2/c (No. 15)
Inequivalent atoms, fractional coordinates:
Sb1 0.000 0.000 0.000
Sb2 0.000 0.351 0.250
H1 0.025 0.251 0.653
H2 0.108 0.381 0.662
H3 0.113 0.362 0.858
N1 0.005 0.331 0.684
F1 0.033 0.114 0.621
F2 0.070 0.348 0.422
F3 0.113 0.091 0.389
F4 0.162 0.467 0.221
F5 0.180 0.248 0.220
F6 0.223 0.065 0.051

=====

Copy entry 2 word for word.
Calculated XRD peak list of SbH3NF6 for CuKα, from a crystal structure in Alexandria, relaxed with PBE.
Neutral-atom scattering factors, no anomalous dispersion.

Principal peaks in the range 10 to 90 degrees two-theta, by angle:
14.43°, I = 22; 15.51°, I = 37; 16.32°, I = 30; 16.57°, I = 42; 20.67°, I = 100; 21.79°, I = 62; 21.90°, I = 83; 23.37°, I = 50; 24.70°, I = 87; 40.57°, I = 30; 40.84°, I = 28; 41.90°, I = 37

Atomic structure:
Cell: 7.632 12.273 10.945 Å, 90.00 93.91 90.00°
Space group C2/c (No. 15)
Inequivalent atoms, fractional coordinates:
Sb1 0.000 0.000 0.000
Sb2 0.000 0.351 0.250
H1 0.025 0.251 0.653
H2 0.108 0.381 0.662
H3 0.113 0.362 0.858
N1 0.005 0.331 0.684
F1 0.033 0.114 0.621
F2 0.070 0.348 0.422
F3 0.113 0.091 0.389
F4 0.162 0.467 0.221
F5 0.180 0.248 0.220
F6 0.223 0.065 0.051